Starting from a structure optimized by DFT (GGA-PBE), the powder diffraction line list of Ba2HoScSe5 was calculated for CuKα.
Lines closer than 0.1° are merged.

Most intense lines, 2θ from 10° to 80°, most intense first:
2theta	d/Å	Rel. int.
28.50	3.131	100
30.80	2.903	35
34.96	2.567	28
41.28	2.187	24
52.38	1.747	16
21.63	4.109	14
43.14	2.097	13
33.79	2.653	12
36.33	2.473	12
24.56	3.624	12

Cell lengths 9.1715, 9.1715, 13.8943 Å; angles 90.00, 90.00, 152.41 degrees
Fractional coordinates of all 18 atoms:
Ba  0.1065  0.8935  0.5000
Ba  0.1433  0.8567  0.1208
Ba  0.8567  0.1433  0.6208
Ba  0.8935  0.1065  0.0000
Ho  0.2119  0.7881  0.8316
Ho  0.7881  0.2119  0.3316
Sc  0.4718  0.5282  0.2655
Sc  0.5282  0.4718  0.7655
Se  0.0518  0.9482  0.8637
Se  0.2836  0.7164  0.4665
Se  0.3224  0.6776  0.1982
Se  0.3720  0.6280  0.8120
Se  0.4898  0.5102  0.5888
Se  0.5102  0.4898  0.0888
Se  0.6280  0.3720  0.3120
Se  0.6776  0.3224  0.6982
Se  0.7164  0.2836  0.9665
Se  0.9482  0.0518  0.3637